Starting from a crystal structure in the Materials Project, relaxed with PBE, the X-ray diffraction stick pattern of YMgTl was calculated for CuKα.

Crystal structure
```
YMgTl
1.0
7.226 0.000 0.000
0.000 7.226 0.000
0.000 0.000 7.226
Y Mg Tl
4 4 4
direct
0.000 0.000 0.000 Y
0.000 0.500 0.500 Y
0.500 0.000 0.500 Y
0.500 0.500 0.000 Y
0.250 0.250 0.750 Mg
0.250 0.750 0.250 Mg
0.750 0.250 0.250 Mg
0.750 0.750 0.750 Mg
0.250 0.250 0.250 Tl
0.250 0.750 0.750 Tl
0.750 0.250 0.750 Tl
0.750 0.750 0.250 Tl
```

Main lines, in order of falling intensity (2θ from 5° to 70°):
Position (°2θ), I_rel
35.13, 100
21.30, 90
41.44, 49
63.02, 37
24.64, 22
55.43, 21
50.52, 18
67.33, 16
56.99, 10
43.38, 7

---

Starting from a crystal structure in the Materials Project, relaxed with PBE, the X-ray diffraction stick pattern of SrEuInSnO6 was calculated for CuKα.

Crystal structure
```
SrEuInSnO6
1.0
0.000 4.161 4.161
4.161 0.000 4.161
4.161 4.161 0.000
Sr Eu In Sn O
1 1 1 1 6
direct
0.000 0.000 0.000 Sr
0.500 0.500 0.500 Eu
0.250 0.250 0.250 In
0.750 0.750 0.750 Sn
0.504 0.504 0.996 O
0.504 0.996 0.504 O
0.504 0.996 0.996 O
0.996 0.504 0.504 O
0.996 0.504 0.996 O
0.996 0.996 0.504 O
```

Main lines, in order of falling intensity (2θ from 5° to 70°):
Position (°2θ), I_rel
30.38, 100
53.98, 41
43.50, 31
63.21, 19
18.47, 4
35.79, 3
37.44, 2
47.63, 1
57.55, 1
66.47, 1
21.36, 1

---

Starting from a crystal structure in the Materials Project, relaxed with PBE, the X-ray diffraction stick pattern of Na6CaHf3Si2P4O24 was calculated for CuKα.

Crystal structure
```
Na6CaHf3Si2P4O24
1.0
9.137 0.000 0.000
-4.552 7.969 0.000
-4.525 -2.688 7.523
Na Ca Hf Si P O
6 1 3 2 4 24
direct
0.000 0.000 0.000 Na
0.010 0.507 0.513 Na
0.156 0.258 0.765 Na
0.464 0.062 0.200 Na
0.514 0.883 0.787 Na
0.842 0.754 0.235 Na
0.287 0.640 0.942 Ca
0.301 0.153 0.446 Hf
0.709 0.847 0.556 Hf
0.717 0.351 0.064 Hf
0.204 0.959 0.749 Si
0.807 0.053 0.252 Si
0.209 0.750 0.264 P
0.500 0.443 0.241 P
0.524 0.549 0.758 P
0.784 0.231 0.741 P
0.013 0.945 0.743 O
0.014 0.091 0.273 O
0.019 0.589 0.246 O
0.194 0.912 0.282 O
0.195 0.780 0.738 O
0.202 0.024 0.583 O
0.211 0.732 0.100 O
0.347 0.546 0.742 O
0.354 0.441 0.061 O
0.384 0.269 0.273 O
0.409 0.788 0.433 O
0.422 0.134 0.929 O
0.435 0.396 0.602 O
0.579 0.180 0.575 O
0.607 0.615 0.394 O
0.612 0.882 0.074 O
0.650 0.524 0.935 O
0.671 0.730 0.752 O
0.680 0.454 0.248 O
0.784 0.059 0.747 O
0.792 0.288 0.908 O
0.794 0.002 0.422 O
0.805 0.232 0.245 O
0.965 0.371 0.739 O
```

Main lines, in order of falling intensity (2θ from 5° to 70°):
Position (°2θ), I_rel
19.29, 100
19.39, 55
30.69, 54
33.94, 36
13.60, 27
11.80, 27
33.73, 24
27.40, 24
22.74, 20
33.81, 19
30.84, 17
22.65, 16

---

Starting from a crystal structure in the Materials Project, relaxed with PBE, the X-ray diffraction stick pattern of Ba3DyIrRuO9 was calculated for CuKα.

Crystal structure
```
Ba3DyIrRuO9
1.0
5.949 0.000 0.000
-2.974 5.152 0.000
0.000 0.000 14.734
Ba Dy Ir Ru O
6 2 2 2 18
direct
0.000 0.000 0.000 Ba
0.000 0.000 0.500 Ba
0.333 0.667 0.155 Ba
0.333 0.667 0.847 Ba
0.667 0.333 0.347 Ba
0.667 0.333 0.655 Ba
0.000 0.000 0.251 Dy
0.000 0.000 0.751 Dy
0.333 0.667 0.415 Ir
0.667 0.333 0.915 Ir
0.333 0.667 0.587 Ru
0.667 0.333 0.087 Ru
0.019 0.509 0.501 O
0.175 0.350 0.338 O
0.175 0.825 0.338 O
0.176 0.351 0.661 O
0.176 0.824 0.661 O
0.350 0.175 0.838 O
0.351 0.176 0.161 O
0.491 0.509 0.501 O
0.491 0.981 0.501 O
0.509 0.019 0.001 O
0.509 0.491 0.001 O
0.649 0.824 0.661 O
0.650 0.825 0.338 O
0.824 0.176 0.161 O
0.824 0.649 0.161 O
0.825 0.175 0.838 O
0.825 0.650 0.838 O
0.981 0.491 0.001 O
```

Main lines, in order of falling intensity (2θ from 5° to 70°):
Position (°2θ), I_rel
30.04, 100
29.82, 65
42.84, 36
53.21, 25
53.35, 20
25.05, 19
62.45, 18
18.24, 15
46.61, 14
39.50, 14
35.08, 12
65.28, 11

---

Starting from a crystal structure in the Materials Project, relaxed with PBE, the X-ray diffraction stick pattern of HoCoSi was calculated for CuKα.

Crystal structure
```
HoCoSi
1.0
6.882 0.000 0.000
0.000 4.178 0.000
0.000 0.000 6.872
Ho Co Si
4 4 4
direct
0.018 0.250 0.188 Ho
0.482 0.750 0.688 Ho
0.518 0.250 0.312 Ho
0.982 0.750 0.812 Ho
0.145 0.750 0.434 Co
0.355 0.250 0.934 Co
0.645 0.750 0.066 Co
0.855 0.250 0.566 Co
0.195 0.250 0.607 Si
0.305 0.750 0.107 Si
0.695 0.250 0.893 Si
0.805 0.750 0.393 Si
```

Main lines, in order of falling intensity (2θ from 5° to 70°):
Position (°2θ), I_rel
36.27, 100
24.94, 29
41.53, 28
25.90, 22
43.31, 19
59.68, 18
61.56, 17
36.97, 15
45.14, 11
58.22, 8
51.16, 7
56.80, 5

---

Starting from a crystal structure in the Materials Project, relaxed with PBE, the X-ray diffraction stick pattern of NbTlCl4O was calculated for CuKα.

Crystal structure
```
NbTlCl4O
1.0
8.085 0.000 0.000
0.000 15.330 0.000
0.000 0.000 13.059
Nb Tl Cl O
8 8 32 8
direct
0.191 0.092 0.246 Nb
0.191 0.408 0.746 Nb
0.309 0.592 0.246 Nb
0.309 0.908 0.746 Nb
0.691 0.092 0.254 Nb
0.691 0.408 0.754 Nb
0.809 0.592 0.254 Nb
0.809 0.908 0.754 Nb
0.011 0.655 0.895 Tl
0.011 0.845 0.395 Tl
0.489 0.155 0.895 Tl
0.489 0.345 0.395 Tl
0.511 0.655 0.605 Tl
0.511 0.845 0.105 Tl
0.989 0.155 0.605 Tl
0.989 0.345 0.105 Tl
0.145 0.147 0.076 Cl
0.145 0.353 0.576 Cl
0.149 0.556 0.687 Cl
0.149 0.944 0.187 Cl
0.155 0.239 0.313 Cl
0.155 0.261 0.813 Cl
0.171 0.039 0.420 Cl
0.171 0.461 0.920 Cl
0.329 0.539 0.420 Cl
0.329 0.961 0.920 Cl
0.345 0.739 0.313 Cl
0.345 0.761 0.813 Cl
0.351 0.056 0.687 Cl
0.351 0.444 0.187 Cl
0.355 0.647 0.076 Cl
0.355 0.853 0.576 Cl
0.645 0.147 0.424 Cl
0.645 0.353 0.924 Cl
0.649 0.556 0.813 Cl
0.649 0.944 0.313 Cl
0.655 0.239 0.187 Cl
0.655 0.261 0.687 Cl
0.671 0.039 0.080 Cl
0.671 0.461 0.580 Cl
0.829 0.539 0.080 Cl
0.829 0.961 0.580 Cl
0.845 0.739 0.187 Cl
0.845 0.761 0.687 Cl
0.851 0.056 0.813 Cl
0.851 0.444 0.313 Cl
0.855 0.647 0.424 Cl
0.855 0.853 0.924 Cl
0.088 0.592 0.243 O
0.088 0.908 0.743 O
0.412 0.092 0.243 O
0.412 0.408 0.743 O
0.588 0.592 0.257 O
0.588 0.908 0.757 O
0.912 0.092 0.257 O
0.912 0.408 0.757 O
```

Main lines, in order of falling intensity (2θ from 5° to 70°):
Position (°2θ), I_rel
18.40, 100
25.85, 74
34.16, 61
23.50, 58
14.12, 56
21.67, 50
38.39, 43
36.57, 38
23.76, 30
23.21, 24
35.34, 22
55.57, 22